No. 1
Starting from a DFT-relaxed cell (PBE, Alexandria), the powder XRD pattern of SrNiW2S8 was calculated for Cu Kα (weighted mean of Kα1 and Kα2).

Cell and atoms:
Lattice parameters (Å, degrees): 9.427 9.427 9.427 37.26 37.26 37.26
Fractional coordinates of all 12 atoms:
Sr 0.000 0.000 0.000
Ni 0.500 0.500 0.500
W 0.247 0.247 0.247
W 0.753 0.753 0.753
S 0.132 0.433 0.771
S 0.229 0.868 0.567
S 0.331 0.331 0.331
S 0.433 0.771 0.132
S 0.567 0.229 0.868
S 0.669 0.669 0.669
S 0.771 0.132 0.433
S 0.868 0.567 0.229

Top 10 peaks for 15° ≤ 2θ ≤ 90°, in order of rising 2θ:
2θ (°), Rel. int.
18.3, 34.4
21.8, 100.0
29.7, 47.4
32.2, 35.4
37.1, 27.8
44.3, 15.9
48.2, 25.8
51.6, 34.7
52.6, 23.4
54.3, 17.2

No. 2
Starting from a DFT-relaxed cell (PBE, Alexandria), the powder XRD pattern of Ta9Ni2S6 was calculated for Cu Kα (weighted mean of Kα1 and Kα2).

Cell and atoms:
Lattice parameters (Å, degrees): 10.206 10.206 3.394 90.00 90.00 120.00
Fractional coordinates of all 17 atoms:
Ta 0.000 0.454 0.000
Ta 0.197 0.737 0.500
Ta 0.263 0.460 0.500
Ta 0.454 0.000 0.000
Ta 0.460 0.263 0.500
Ta 0.540 0.803 0.500
Ta 0.546 0.546 0.000
Ta 0.737 0.197 0.500
Ta 0.803 0.540 0.500
Ni 0.333 0.667 0.000
Ni 0.667 0.333 0.000
S 0.000 0.271 0.500
S 0.000 0.704 0.000
S 0.271 0.000 0.500
S 0.296 0.296 0.000
S 0.704 0.000 0.000
S 0.729 0.729 0.500

Top 10 peaks for 15° ≤ 2θ ≤ 90°, in order of rising 2θ:
2θ (°), Rel. int.
26.7, 14.8
33.3, 56.1
36.7, 59.4
37.8, 100.0
40.5, 19.7
40.8, 30.9
44.4, 38.5
54.0, 16.0
64.8, 23.4
67.1, 20.7

No. 3
Starting from a DFT-relaxed cell (PBE, Alexandria), the powder XRD pattern of Ta3NiS6 was calculated for Cu Kα (weighted mean of Kα1 and Kα2).

Cell and atoms:
Lattice parameters (Å, degrees): 7.714 7.714 5.874 90.00 90.00 101.37
Fractional coordinates of all 20 atoms:
Ta 0.103 0.897 0.500
Ta 0.237 0.454 0.410
Ta 0.454 0.237 0.910
Ta 0.546 0.763 0.410
Ta 0.763 0.546 0.910
Ta 0.897 0.103 0.000
Ni 0.276 0.724 0.792
Ni 0.724 0.276 0.292
S 0.029 0.594 0.644
S 0.139 0.198 0.705
S 0.198 0.139 0.205
S 0.269 0.731 0.194
S 0.406 0.971 0.644
S 0.459 0.541 0.740
S 0.541 0.459 0.240
S 0.594 0.029 0.144
S 0.731 0.269 0.694
S 0.802 0.861 0.705
S 0.861 0.802 0.205
S 0.971 0.406 0.144

Top 10 peaks for 15° ≤ 2θ ≤ 90°, in order of rising 2θ:
2θ (°), Rel. int.
19.1, 84.9
21.2, 28.9
28.1, 72.6
28.4, 32.7
28.6, 100.0
42.1, 59.9
42.8, 49.7
43.2, 40.1
47.2, 47.7
73.7, 25.7

No. 4
Starting from a DFT-relaxed cell (PBE, Alexandria), the powder XRD pattern of Ta4NiS8 was calculated for Cu Kα (weighted mean of Kα1 and Kα2).

Cell and atoms:
Lattice parameters (Å, degrees): 3.351 3.351 26.296 90.00 90.00 120.00
Fractional coordinates of all 13 atoms:
Ta 0.000 0.000 0.112
Ta 0.000 0.000 0.373
Ta 0.000 0.000 0.627
Ta 0.000 0.000 0.888
Ni 0.000 0.000 0.000
S 0.333 0.667 0.053
S 0.333 0.667 0.171
S 0.333 0.667 0.567
S 0.333 0.667 0.686
S 0.667 0.333 0.314
S 0.667 0.333 0.433
S 0.667 0.333 0.829
S 0.667 0.333 0.947

Top 10 peaks for 15° ≤ 2θ ≤ 90°, in order of rising 2θ:
2θ (°), Rel. int.
27.1, 16.2
30.8, 68.9
33.8, 100.0
41.5, 99.8
49.4, 15.6
52.3, 20.2
54.8, 34.7
56.7, 25.6
65.9, 15.0
71.0, 20.2

No. 5
Starting from a DFT-relaxed cell (PBE, Alexandria), the powder XRD pattern of Tb4NiS3 was calculated for Cu Kα (weighted mean of Kα1 and Kα2).

Cell and atoms:
Lattice parameters (Å, degrees): 6.929 7.900 6.743 90.00 109.27 90.00
Fractional coordinates of all 16 atoms:
Tb 0.243 0.134 0.495
Tb 0.243 0.866 0.995
Tb 0.244 0.377 0.003
Tb 0.244 0.623 0.503
Tb 0.756 0.377 0.497
Tb 0.756 0.623 0.997
Tb 0.757 0.134 0.005
Tb 0.757 0.866 0.505
Ni 0.000 0.380 0.250
Ni 0.000 0.620 0.750
S 0.000 0.121 0.750
S 0.000 0.879 0.250
S 0.500 0.117 0.250
S 0.500 0.372 0.750
S 0.500 0.628 0.250
S 0.500 0.883 0.750

Top 10 peaks for 15° ≤ 2θ ≤ 90°, in order of rising 2θ:
2θ (°), Rel. int.
27.3, 25.2
27.7, 48.6
28.0, 23.7
32.0, 100.0
32.1, 49.7
45.5, 36.9
45.9, 35.9
46.5, 34.8
54.6, 15.5
57.2, 18.3

No. 6
Starting from a DFT-relaxed cell (PBE, Alexandria), the powder XRD pattern of U2TiNiS5 was calculated for Cu Kα (weighted mean of Kα1 and Kα2).

Cell and atoms:
Lattice parameters (Å, degrees): 7.962 7.962 11.337 90.00 90.00 153.64
Fractional coordinates of all 18 atoms:
U 0.114 0.886 0.500
U 0.124 0.876 0.856
U 0.876 0.124 0.356
U 0.886 0.114 0.000
Ti 0.176 0.824 0.175
Ti 0.824 0.176 0.675
Ni 0.441 0.559 0.579
Ni 0.559 0.441 0.079
S 0.019 0.981 0.178
S 0.305 0.695 0.523
S 0.307 0.693 0.830
S 0.340 0.660 0.177
S 0.498 0.502 0.906
S 0.502 0.498 0.406
S 0.660 0.340 0.677
S 0.693 0.307 0.330
S 0.695 0.305 0.023
S 0.981 0.019 0.678

Top 10 peaks for 15° ≤ 2θ ≤ 90°, in order of rising 2θ:
2θ (°), Rel. int.
15.6, 34.7
22.9, 55.9
25.2, 35.2
26.2, 83.7
34.8, 100.0
38.2, 31.1
38.5, 45.3
41.5, 57.5
42.4, 30.0
50.3, 27.4

No. 7
Starting from a DFT-relaxed cell (PBE, Alexandria), the powder XRD pattern of Tl2NiS2 was calculated for Cu Kα (weighted mean of Kα1 and Kα2).

Cell and atoms:
Lattice parameters (Å, degrees): 6.241 6.241 6.241 148.49 108.78 79.95
Fractional coordinates of all 5 atoms:
Tl 0.196 0.196 0.000
Tl 0.804 0.804 0.000
Ni 0.500 0.000 0.500
S 0.301 0.500 0.801
S 0.699 0.500 0.199

Top 10 peaks for 15° ≤ 2θ ≤ 90°, in order of rising 2θ:
2θ (°), Rel. int.
18.6, 26.0
24.5, 79.6
29.1, 78.2
30.6, 100.0
30.9, 47.4
34.7, 99.0
37.5, 40.3
38.8, 33.8
50.1, 50.9
61.2, 40.0

No. 8
Starting from a DFT-relaxed cell (PBE, Alexandria), the powder XRD pattern of U3Tl3NiS8 was calculated for Cu Kα (weighted mean of Kα1 and Kα2).

Cell and atoms:
Lattice parameters (Å, degrees): 7.712 7.712 8.909 115.60 115.60 60.10
Fractional coordinates of all 15 atoms:
U 0.000 0.000 0.000
U 0.000 0.500 0.000
U 0.500 0.000 0.000
Tl 0.000 0.500 0.500
Tl 0.500 0.000 0.500
Tl 0.500 0.500 0.500
Ni 0.500 0.500 0.000
S 0.234 0.234 0.202
S 0.241 0.723 0.186
S 0.277 0.759 0.814
S 0.279 0.279 0.815
S 0.721 0.721 0.185
S 0.723 0.241 0.186
S 0.759 0.277 0.814
S 0.766 0.766 0.798

Top 10 peaks for 15° ≤ 2θ ≤ 90°, in order of rising 2θ:
2θ (°), Rel. int.
15.3, 26.6
23.0, 46.1
27.8, 60.8
30.9, 100.0
41.3, 43.3
47.1, 43.5
47.8, 22.5
53.1, 26.9
57.4, 18.3
68.8, 17.2

No. 9
Starting from a DFT-relaxed cell (PBE, Alexandria), the powder XRD pattern of TmNiS2 was calculated for Cu Kα (weighted mean of Kα1 and Kα2).

Cell and atoms:
Lattice parameters (Å, degrees): 7.461 7.461 7.461 30.97 30.97 30.97
Fractional coordinates of all 4 atoms:
Tm 0.000 0.000 0.000
Ni 0.500 0.500 0.500
S 0.400 0.400 0.400
S 0.600 0.600 0.600

Top 10 peaks for 15° ≤ 2θ ≤ 90°, in order of rising 2θ:
2θ (°), Rel. int.
25.1, 19.6
27.2, 100.0
30.9, 35.4
33.4, 25.6
42.9, 28.8
45.5, 33.2
50.4, 24.5
52.7, 16.5
53.8, 14.6
71.2, 12.4

No. 10
Starting from a DFT-relaxed cell (PBE, Alexandria), the powder XRD pattern of TmUNiS4 was calculated for Cu Kα (weighted mean of Kα1 and Kα2).

Cell and atoms:
Lattice parameters (Å, degrees): 6.258 5.867 7.483 90.00 106.37 90.00
Fractional coordinates of all 14 atoms:
Tm 0.250 0.250 0.059
Tm 0.750 0.750 0.941
U 0.237 0.250 0.556
U 0.763 0.750 0.444
Ni 0.241 0.750 0.329
Ni 0.759 0.250 0.671
S 0.016 0.511 0.755
S 0.016 0.989 0.755
S 0.437 0.750 0.119
S 0.438 0.750 0.617
S 0.562 0.250 0.383
S 0.563 0.250 0.881
S 0.984 0.011 0.245
S 0.984 0.489 0.245

Top 10 peaks for 15° ≤ 2θ ≤ 90°, in order of rising 2θ:
2θ (°), Rel. int.
21.2, 100.0
29.2, 31.7
29.4, 32.1
29.8, 28.7
30.5, 49.0
33.1, 26.0
36.0, 48.8
36.5, 44.6
43.1, 40.5
48.0, 32.6

No. 11
Starting from a DFT-relaxed cell (PBE, Alexandria), the powder XRD pattern of VNi2S4 was calculated for Cu Kα (weighted mean of Kα1 and Kα2).

Cell and atoms:
Lattice parameters (Å, degrees): 6.790 6.790 6.790 122.39 118.23 89.50
Fractional coordinates of all 14 atoms:
V 0.500 0.000 0.000
V 0.500 0.500 0.500
Ni 0.000 0.000 0.000
Ni 0.120 0.370 0.750
Ni 0.500 0.000 0.500
Ni 0.880 0.630 0.250
S 0.248 0.242 0.006
S 0.255 0.241 0.487
S 0.255 0.768 0.013
S 0.265 0.758 0.506
S 0.735 0.242 0.494
S 0.745 0.232 0.987
S 0.745 0.759 0.513
S 0.752 0.758 0.994

Top 10 peaks for 15° ≤ 2θ ≤ 90°, in order of rising 2θ:
2θ (°), Rel. int.
26.3, 37.9
30.5, 69.2
30.6, 23.5
31.0, 34.8
31.6, 51.4
37.3, 27.3
37.7, 52.8
49.0, 26.5
52.5, 28.0
54.1, 100.0

No. 12
Starting from a DFT-relaxed cell (PBE, Alexandria), the powder XRD pattern of VNi2S6 was calculated for Cu Kα (weighted mean of Kα1 and Kα2).

Cell and atoms:
Lattice parameters (Å, degrees): 5.370 5.370 10.398 90.00 90.00 90.00
Fractional coordinates of all 18 atoms:
V 0.000 0.000 0.000
V 0.500 0.500 0.500
Ni 0.000 0.000 0.332
Ni 0.000 0.000 0.668
Ni 0.500 0.500 0.168
Ni 0.500 0.500 0.832
S 0.188 0.188 0.500
S 0.198 0.198 0.166
S 0.198 0.198 0.834
S 0.302 0.698 0.334
S 0.302 0.698 0.666
S 0.312 0.688 0.000
S 0.688 0.312 0.000
S 0.698 0.302 0.334
S 0.698 0.302 0.666
S 0.802 0.802 0.166
S 0.802 0.802 0.834
S 0.812 0.812 0.500

Top 10 peaks for 15° ≤ 2θ ≤ 90°, in order of rising 2θ:
2θ (°), Rel. int.
23.4, 100.0
30.7, 29.7
35.1, 49.5
37.4, 18.7
46.0, 77.5
47.9, 27.5
52.8, 16.1
58.0, 41.1
58.5, 13.7
74.1, 13.7

Please write out number 2 again, unchanged.
Starting from a DFT-relaxed cell (PBE, Alexandria), the powder XRD pattern of Ta9Ni2S6 was calculated for Cu Kα (weighted mean of Kα1 and Kα2).

Cell and atoms:
Lattice parameters (Å, degrees): 10.206 10.206 3.394 90.00 90.00 120.00
Fractional coordinates of all 17 atoms:
Ta 0.000 0.454 0.000
Ta 0.197 0.737 0.500
Ta 0.263 0.460 0.500
Ta 0.454 0.000 0.000
Ta 0.460 0.263 0.500
Ta 0.540 0.803 0.500
Ta 0.546 0.546 0.000
Ta 0.737 0.197 0.500
Ta 0.803 0.540 0.500
Ni 0.333 0.667 0.000
Ni 0.667 0.333 0.000
S 0.000 0.271 0.500
S 0.000 0.704 0.000
S 0.271 0.000 0.500
S 0.296 0.296 0.000
S 0.704 0.000 0.000
S 0.729 0.729 0.500

Top 10 peaks for 15° ≤ 2θ ≤ 90°, in order of rising 2θ:
2θ (°), Rel. int.
26.7, 14.8
33.3, 56.1
36.7, 59.4
37.8, 100.0
40.5, 19.7
40.8, 30.9
44.4, 38.5
54.0, 16.0
64.8, 23.4
67.1, 20.7